[1]
The following is a calculated powder diffraction line list of Pm3Sm2Ho7. It was derived from a structure optimized by DFT (PBE), using Cu Kα.
Peak positions follow from Bragg's law for the DFT cell and can differ from measured ones.

Structure:
a = 5.8270 Å, b = 3.5759 Å, c = 18.8131 Å
α = 90.00°, β = 93.22°, γ = 90.00°
Space group P2/m (No. 10)
Unique sites:
Pm 0.0000 0.0000 0.0000 [1 per cell]
Pm 0.2766 0.5000 0.6320 [2 per cell]
Sm 0.2109 0.0000 0.2925 [2 per cell]
Ho 0.1900 0.5000 0.1425 [2 per cell]
Ho 0.2426 0.0000 0.4620 [2 per cell]
Ho 0.3079 0.0000 0.8267 [2 per cell]
Ho 0.5000 0.5000 0.0000 [1 per cell]

The 12 most intense peaks (10 to 80 degrees two-theta), low angle first:
2θ/deg	d/Å	I (rel.)
28.5	3.131	26
30.6	2.923	29
30.7	2.909	25
30.8	2.899	34
31.1	2.873	100
31.4	2.845	28
31.7	2.824	45
32.3	2.772	21
33.2	2.695	33
34.6	2.591	31
54.2	1.691	30
61.4	1.510	24


[2]
The following is a calculated powder diffraction line list of PmSm4Ho2. It was derived from a structure optimized by DFT (PBE), using Cu Kα.
Peak positions follow from Bragg's law for the DFT cell and can differ from measured ones.

Structure:
a = 16.9397 Å, b = 3.5606 Å, c = 8.8473 Å
α = 90.00°, β = 119.14°, γ = 90.00°
Space group C2/m (No. 12)
Unique sites:
Pm 0.0000 0.0000 0.0000 [2 per cell]
Sm 0.1383 0.5000 0.8320 [4 per cell]
Sm 0.2047 0.5000 0.2935 [4 per cell]
Ho 0.0708 0.0000 0.4300 [4 per cell]

The 12 most intense peaks (10 to 80 degrees two-theta), low angle first:
2θ/deg	d/Å	I (rel.)
29.8	2.999	38
30.9	2.891	100
31.2	2.868	49
32.3	2.773	46
32.7	2.738	45
41.2	2.190	13
45.6	1.990	13
47.6	1.909	19
51.3	1.780	13
61.1	1.516	15
61.3	1.513	14
61.9	1.498	15


[3]
The following is a calculated powder diffraction line list of Pm2SmHo. It was derived from a structure optimized by DFT (PBE), using Cu Kα.
Peak positions follow from Bragg's law for the DFT cell and can differ from measured ones.

Structure:
a = 4.2386 Å, b = 4.2386 Å, c = 7.4539 Å
α = 90.00°, β = 90.00°, γ = 90.00°
Space group P4/mmm (No. 123)
Unique sites:
Pm 0.0000 0.0000 0.2448 [2 per cell]
Sm 0.5000 0.5000 0.5000 [1 per cell]
Ho 0.5000 0.5000 0.0000 [1 per cell]

The 10 most intense peaks (10 to 80 degrees two-theta), low angle first:
2θ/deg	d/Å	I (rel.)
29.8	2.997	60
32.0	2.799	100
42.7	2.119	23
48.9	1.863	8
54.3	1.690	45
58.3	1.583	18
61.9	1.499	8
66.9	1.399	12
70.2	1.340	10
71.4	1.321	10


[4]
The following is a calculated powder diffraction line list of Tb3PmSm6Ho2. It was derived from a structure optimized by DFT (PBE), using Cu Kα.
Peak positions follow from Bragg's law for the DFT cell and can differ from measured ones.

Structure:
a = 6.2315 Å, b = 10.7893 Å, c = 11.9001 Å
α = 90.00°, β = 100.04°, γ = 90.00°
Space group C2/m (No. 12)
Unique sites:
Tb 0.0000 0.0000 0.0000 [2 per cell]
Tb 0.0000 0.3330 0.0000 [4 per cell]
Pm 0.0000 0.5000 0.5000 [2 per cell]
Sm 0.2491 0.1670 0.2498 [8 per cell]
Sm 0.2499 0.0000 0.7502 [4 per cell]
Ho 0.0000 0.1666 0.5000 [4 per cell]

The 9 most intense peaks (10 to 80 degrees two-theta), low angle first:
2θ/deg	d/Å	I (rel.)
30.5	2.935	100
35.3	2.541	51
50.8	1.797	30
50.9	1.795	6
60.4	1.533	32
60.5	1.531	11
63.4	1.468	9
63.5	1.465	3
74.7	1.271	6


[5]
The following is a calculated powder diffraction line list of TbPmSm2Ho6. It was derived from a structure optimized by DFT (PBE), using Cu Kα.
Peak positions follow from Bragg's law for the DFT cell and can differ from measured ones.

Structure:
a = 9.0159 Å, b = 15.0107 Å, c = 9.6997 Å
α = 90.00°, β = 99.12°, γ = 90.00°
Space group C2/c (No. 15)
Unique sites:
Tb 0.0000 0.0193 0.2500 [4 per cell]
Pm 0.0000 0.4058 0.7500 [4 per cell]
Sm 0.2421 0.0513 0.5422 [8 per cell]
Ho 0.0663 0.1890 0.9433 [8 per cell]
Ho 0.1021 0.3950 0.1208 [8 per cell]
Ho 0.1985 0.2248 0.3157 [8 per cell]

The 12 most intense peaks (10 to 80 degrees two-theta), low angle first:
2θ/deg	d/Å	I (rel.)
28.7	3.106	66
30.4	2.938	62
30.7	2.914	92
31.4	2.845	74
31.6	2.829	53
31.9	2.809	100
32.4	2.765	29
33.5	2.677	96
34.0	2.635	23
50.7	1.801	20
53.0	1.729	19
60.9	1.522	22


[6]
The following is a calculated powder diffraction line list of Tb2PmSm3Ho6. It was derived from a structure optimized by DFT (PBE), using Cu Kα.
Peak positions follow from Bragg's law for the DFT cell and can differ from measured ones.

Structure:
a = 6.1839 Å, b = 10.7042 Å, c = 11.7754 Å
α = 90.00°, β = 100.04°, γ = 90.00°
Space group C2/m (No. 12)
Unique sites:
Tb 0.0000 0.1667 0.0000 [4 per cell]
Pm 0.0000 0.5000 0.0000 [2 per cell]
Sm 0.0000 0.0000 0.5000 [2 per cell]
Sm 0.0000 0.3332 0.5000 [4 per cell]
Ho 0.2497 0.0000 0.2490 [4 per cell]
Ho 0.2497 0.1668 0.7509 [8 per cell]

The 11 most intense peaks (10 to 80 degrees two-theta), low angle first:
2θ/deg	d/Å	I (rel.)
30.7	2.913	100
30.8	2.899	33
35.6	2.519	67
51.2	1.785	24
51.4	1.778	24
60.9	1.521	24
61.0	1.519	19
61.1	1.516	14
63.9	1.456	12
64.3	1.449	4
75.5	1.260	8


[7]
The following is a calculated powder diffraction line list of Tb2PmSmHo4. It was derived from a structure optimized by DFT (PBE), using Cu Kα.
Peak positions follow from Bragg's law for the DFT cell and can differ from measured ones.

Structure:
a = 13.5982 Å, b = 13.2605 Å, c = 6.8024 Å
α = 90.00°, β = 120.01°, γ = 90.00°
Space group C2/c (No. 15)
Unique sites:
Tb 0.0000 0.0000 0.0000 [4 per cell]
Tb 0.2500 0.2500 0.0000 [4 per cell]
Pm 0.2500 0.2500 0.5000 [4 per cell]
Sm 0.0000 0.5000 0.0000 [4 per cell]
Ho 0.9997 0.2485 0.5007 [8 per cell]
Ho 0.2483 0.0010 0.9974 [8 per cell]

The 9 most intense peaks (10 to 80 degrees two-theta), low angle first:
2θ/deg	d/Å	I (rel.)
26.9	3.315	45
30.4	2.945	100
41.0	2.202	89
53.9	1.700	20
55.4	1.658	6
61.3	1.513	27
63.1	1.472	12
64.5	1.444	23
69.9	1.346	18


[8]
The following is a calculated powder diffraction line list of PmSm2HoTh. It was derived from a structure optimized by DFT (PBE), using Cu Kα.
Peak positions follow from Bragg's law for the DFT cell and can differ from measured ones.

Structure:
a = 8.5983 Å, b = 6.4305 Å, c = 6.3750 Å
α = 90.00°, β = 97.47°, γ = 90.00°
Space group P2/c (No. 13)
Unique sites:
Pm 0.0000 0.0000 0.0000 [2 per cell]
Sm 0.3142 0.3080 0.2086 [4 per cell]
Ho 0.5000 0.1747 0.7500 [2 per cell]
Th 0.0000 0.4508 0.7500 [2 per cell]

The 12 most intense peaks (10 to 80 degrees two-theta), low angle first:
2θ/deg	d/Å	I (rel.)
20.8	4.263	48
27.4	3.251	57
28.2	3.160	54
29.7	3.008	100
30.2	2.963	75
31.5	2.842	39
31.5	2.836	47
32.1	2.791	38
32.4	2.766	45
34.5	2.601	66
35.0	2.567	38
42.3	2.135	63